Starting from DFT lattice parameters and positions (GGA+U), the powder diffractogram of ZnFeO3 was computed for a wavelength of 1.5418 Å.
Kinematic intensities with the Lorentz-polarization factor, no thermal factor.

Structure:
Cell: 5.4971 5.4971 5.4971 Å, 55.65 55.65 55.65°
Atoms (fractional coordinates):
Zn 0.1370 0.1370 0.1370
Zn 0.8630 0.8630 0.8630
Fe 0.3468 0.3468 0.3468
Fe 0.6532 0.6532 0.6532
O 0.0593 0.4545 0.7261
O 0.2739 0.9407 0.5455
O 0.4545 0.7261 0.0593
O 0.5455 0.2739 0.9407
O 0.7261 0.0593 0.4545
O 0.9407 0.5455 0.2739

Largest 12 diffraction maxima, in order of falling intensity, 2θ from 15° to 90°:
d = 2.736 Å, rel. 100; d = 2.566 Å, rel. 82; d = 1.719 Å, rel. 43; d = 1.872 Å, rel. 40; d = 1.512 Å, rel. 35; d = 1.481 Å, rel. 33; d = 3.744 Å, rel. 28; d = 2.244 Å, rel. 15; d = 1.162 Å, rel. 11; d = 1.283 Å, rel. 10; d = 1.326 Å, rel. 10; d = 1.617 Å, rel. 9

---

Starting from DFT lattice parameters and positions (GGA+U), the powder diffractogram of FeO3 was computed for a wavelength of 1.5418 Å.
Kinematic intensities with the Lorentz-polarization factor, no thermal factor.

Structure:
Cell: 7.8656 7.8656 5.9638 Å, 110.75 110.75 20.93°
Atoms (fractional coordinates):
Fe 0.1875 0.1875 0.2817
Fe 0.8125 0.8125 0.7183
O 0.0183 0.0183 0.1106
O 0.3213 0.3213 0.9233
O 0.3252 0.3252 0.5150
O 0.6748 0.6748 0.4850
O 0.6787 0.6787 0.0767
O 0.9817 0.9817 0.8894

Largest 12 diffraction maxima, in order of falling intensity, 2θ from 15° to 90°:
d = 5.458 Å, rel. 100; d = 2.575 Å, rel. 23; d = 2.036 Å, rel. 22; d = 3.695 Å, rel. 16; d = 2.626 Å, rel. 16; d = 2.405 Å, rel. 15; d = 2.047 Å, rel. 8; d = 1.748 Å, rel. 7; d = 3.794 Å, rel. 6; d = 2.435 Å, rel. 6; d = 1.472 Å, rel. 6; d = 1.444 Å, rel. 6

---

Starting from DFT lattice parameters and positions (GGA+U), the powder diffractogram of Mn6O5F7 was computed for a wavelength of 1.5418 Å.
Kinematic intensities with the Lorentz-polarization factor, no thermal factor.

Structure:
Cell: 4.7065 5.7342 15.5947 Å, 90.00 91.19 90.00°
Atoms (fractional coordinates):
Mn 0.0000 0.1378 0.0000
Mn 0.0000 0.8622 0.5000
Mn 0.0302 0.1571 0.6663
Mn 0.0302 0.8429 0.1663
Mn 0.5276 0.3486 0.1721
Mn 0.5276 0.6514 0.6721
Mn 0.5302 0.3343 0.5093
Mn 0.5302 0.6657 0.0093
Mn 0.5367 0.3474 0.8458
Mn 0.5367 0.6526 0.3458
Mn 0.9663 0.1601 0.3348
Mn 0.9663 0.8399 0.8348
O 0.3207 0.3768 0.6166
O 0.3207 0.6232 0.1166
O 0.7263 0.3908 0.4010
O 0.7263 0.6092 0.9010
O 0.7900 0.1090 0.8933
O 0.7900 0.8910 0.3933
O 0.7971 0.1092 0.2230
O 0.7971 0.8908 0.7230
O 0.8094 0.1107 0.5577
O 0.8094 0.8893 0.0577
F 0.2471 0.1299 0.4378
F 0.2471 0.8701 0.9378
F 0.2662 0.1229 0.7802
F 0.2662 0.8771 0.2802
F 0.2670 0.1235 0.1043
F 0.2670 0.8765 0.6043
F 0.2720 0.3769 0.9554
F 0.2720 0.6231 0.4554
F 0.2777 0.3895 0.2847
F 0.2777 0.6105 0.7847
F 0.7700 0.3892 0.0641
F 0.7700 0.6108 0.5641
F 0.7738 0.4001 0.7330
F 0.7738 0.5999 0.2330

Largest 12 diffraction maxima, in order of falling intensity, 2θ from 15° to 90°:
d = 3.003 Å, rel. 100; d = 3.638 Å, rel. 98; d = 2.958 Å, rel. 89; d = 1.726 Å, rel. 58; d = 2.510 Å, rel. 37; d = 1.708 Å, rel. 33; d = 1.483 Å, rel. 32; d = 1.771 Å, rel. 30; d = 1.762 Å, rel. 24; d = 2.206 Å, rel. 22; d = 2.224 Å, rel. 19; d = 2.599 Å, rel. 19

---

Starting from DFT lattice parameters and positions (GGA+U), the powder diffractogram of TaZn2WO6 was computed for a wavelength of 1.5418 Å.
Kinematic intensities with the Lorentz-polarization factor, no thermal factor.

Structure:
Cell: 5.6693 5.6693 5.6693 Å, 119.67 89.45 120.98°
Atoms (fractional coordinates):
Ta 0.0000 0.0000 0.0000
Zn 0.2032 0.4525 0.7507
Zn 0.7019 0.4525 0.2493
W 0.5028 0.0028 0.5000
O 0.2664 0.0234 0.7570
O 0.2664 0.5094 0.2430
O 0.2674 0.0207 0.2466
O 0.7606 0.0104 0.2498
O 0.7606 0.5108 0.7502
O 0.7741 0.0207 0.7534

Largest 12 diffraction maxima, in order of falling intensity, 2θ from 15° to 90°:
d = 2.834 Å, rel. 100; d = 3.989 Å, rel. 38; d = 1.643 Å, rel. 31; d = 1.994 Å, rel. 28; d = 2.849 Å, rel. 26; d = 2.793 Å, rel. 23; d = 4.028 Å, rel. 18; d = 1.417 Å, rel. 17; d = 1.620 Å, rel. 17; d = 2.014 Å, rel. 15; d = 1.798 Å, rel. 12; d = 1.787 Å, rel. 10

---

Starting from DFT lattice parameters and positions (GGA+U), the powder diffractogram of BaHoCo2O6 was computed for a wavelength of 1.5418 Å.
Kinematic intensities with the Lorentz-polarization factor, no thermal factor.

Structure:
Cell: 3.7809 7.8267 7.8857 Å, 90.00 90.00 90.00°
Atoms (fractional coordinates):
Ba 0.0000 0.2473 0.0000
Ba 0.0000 0.7527 0.0000
Ho 0.0000 0.2320 0.5000
Ho 0.0000 0.7680 0.5000
Co 0.5000 0.0000 0.2564
Co 0.5000 0.0000 0.7436
Co 0.5000 0.5000 0.2580
Co 0.5000 0.5000 0.7420
O 0.0000 0.0000 0.2908
O 0.0000 0.0000 0.7092
O 0.0000 0.5000 0.2717
O 0.0000 0.5000 0.7283
O 0.5000 0.0000 0.0000
O 0.5000 0.0000 0.5000
O 0.5000 0.2434 0.2883
O 0.5000 0.2434 0.7117
O 0.5000 0.5000 0.0000
O 0.5000 0.5000 0.5000
O 0.5000 0.7566 0.2883
O 0.5000 0.7566 0.7117

Largest 12 diffraction maxima, in order of falling intensity, 2θ from 15° to 90°:
d = 2.778 Å, rel. 100; d = 2.729 Å, rel. 96; d = 2.719 Å, rel. 94; d = 2.238 Å, rel. 49; d = 1.596 Å, rel. 41; d = 1.563 Å, rel. 35; d = 1.590 Å, rel. 35; d = 1.957 Å, rel. 30; d = 1.971 Å, rel. 30; d = 1.890 Å, rel. 29; d = 1.364 Å, rel. 17; d = 1.360 Å, rel. 17

---

Starting from DFT lattice parameters and positions (GGA+U), the powder diffractogram of Li2FeCo3O8 was computed for a wavelength of 1.5418 Å.
Kinematic intensities with the Lorentz-polarization factor, no thermal factor.

Structure:
Cell: 5.8313 5.8812 10.2332 Å, 73.88 73.52 60.43°
Atoms (fractional coordinates):
Li 0.0586 0.0693 0.3160
Li 0.4333 0.4468 0.1850
Li 0.5667 0.5532 0.8150
Li 0.9414 0.9307 0.6840
Fe 0.2615 0.2383 0.7475
Fe 0.7385 0.7617 0.2525
Co 0.0000 0.0000 0.0000
Co 0.0000 0.5000 0.0000
Co 0.0000 0.5000 0.5000
Co 0.5000 0.0000 0.0000
Co 0.5000 0.0000 0.5000
Co 0.5000 0.5000 0.5000
O 0.0890 0.6614 0.1130
O 0.1439 0.1296 0.1069
O 0.1489 0.5905 0.6164
O 0.1594 0.1264 0.6146
O 0.3533 0.8978 0.8970
O 0.3745 0.3322 0.8845
O 0.3742 0.3536 0.3950
O 0.3961 0.8745 0.3876
O 0.6039 0.1255 0.6124
O 0.6258 0.6464 0.6050
O 0.6255 0.6678 0.1155
O 0.6467 0.1022 0.1030
O 0.8406 0.8736 0.3854
O 0.8511 0.4095 0.3836
O 0.8561 0.8704 0.8931
O 0.9110 0.3386 0.8870

Largest 12 diffraction maxima, in order of falling intensity, 2θ from 15° to 90°:
d = 4.797 Å, rel. 100; d = 2.073 Å, rel. 50; d = 4.839 Å, rel. 43; d = 2.099 Å, rel. 26; d = 2.523 Å, rel. 17; d = 2.497 Å, rel. 17; d = 1.478 Å, rel. 15; d = 1.474 Å, rel. 15; d = 2.506 Å, rel. 12; d = 2.514 Å, rel. 10; d = 2.395 Å, rel. 9; d = 1.470 Å, rel. 7